No. 1
PmPr2Tm12: calculated X-ray diffraction stick pattern (Cu Kα (weighted mean of Kα1 and Kα2)), based on a DFT-relaxed cell (PBE, Alexandria).
Intensities are scaled so that the largest is 100.

Main lines, most intense first (2θ = 10–90°):
2θ (°)	I_rel
32.2	100.0
30.4	97.0
32.7	94.1
31.4	61.7
32.5	50.7
30.5	50.6
33.7	45.3
46.4	37.7
60.2	33.4
36.4	33.4
62.4	30.4
61.3	28.1

Structure:
```
PmPr2Tm12
1.0
3.5266 -5.5537 0.0000
3.5266 5.5537 0.0000
-1.7301 0.0000 24.2406
Pm Pr Tm
2 4 24
direct
0.2500 0.2500 0.0001
0.7500 0.7500 0.9999
0.0692 0.0692 0.2734
0.4310 0.4310 0.7266
0.5690 0.5690 0.2734
0.9308 0.9308 0.7266
0.0508 0.5511 0.2012
0.0837 0.5839 0.3328
0.1377 0.6381 0.5539
0.1420 0.1420 0.5699
0.2141 0.2141 0.8639
0.2300 0.7300 0.9245
0.2700 0.7700 0.0755
0.2860 0.2860 0.1362
0.3583 0.3583 0.4299
0.3619 0.8623 0.4461
0.4161 0.9163 0.6672
0.4489 0.9492 0.7988
0.5511 0.0508 0.2012
0.5839 0.0837 0.3328
0.6381 0.1377 0.5539
0.6417 0.6417 0.5701
0.7140 0.7140 0.8638
0.7300 0.2300 0.9245
0.7700 0.2700 0.0755
0.7859 0.7859 0.1361
0.8580 0.8580 0.4301
0.8623 0.3619 0.4461
0.9163 0.4161 0.6672
0.9492 0.4489 0.7988
```

No. 2
TbSm2Au: calculated X-ray diffraction stick pattern (Cu Kα (weighted mean of Kα1 and Kα2)), based on a DFT-relaxed cell (PBE, Alexandria).
Intensities are scaled so that the largest is 100.

Main lines, most intense first (2θ = 10–90°):
2θ (°)	I_rel
30.2	100.0
36.5	53.7
49.2	27.1
61.9	19.1
35.1	16.3
58.9	15.3
80.2	12.7
62.8	11.2
83.7	10.2
55.9	9.7
43.0	6.2
34.7	6.0

Structure:
```
TbSm2Au
1.0
3.7014 0.0000 0.0000
-1.8507 3.2055 0.0000
0.0000 0.0000 30.6852
Tb Sm Au
3 6 3
direct
0.0000 0.0000 0.0000
0.3333 0.6667 0.6667
0.6667 0.3333 0.3333
0.0000 0.0000 0.2383
0.0000 0.0000 0.7617
0.3333 0.6667 0.4283
0.3333 0.6667 0.9050
0.6667 0.3333 0.0950
0.6667 0.3333 0.5717
0.0000 0.0000 0.5000
0.3333 0.6667 0.1667
0.6667 0.3333 0.8333
```

No. 3
P: calculated X-ray diffraction stick pattern (Cu Kα (weighted mean of Kα1 and Kα2)), based on a DFT-relaxed cell (PBE, Alexandria).
Intensities are scaled so that the largest is 100.

Main lines, most intense first (2θ = 10–90°):
2θ (°)	I_rel
13.4	100.0
15.5	54.0
14.9	53.5
33.3	30.4
32.7	27.7
24.9	18.1
27.1	16.9
30.7	15.6
38.5	11.4
30.1	10.9
20.9	10.3
23.9	10.0

Structure:
```
P
1.0
7.8571 0.0000 0.0000
-2.7241 11.9682 0.0000
-3.6519 -3.7490 11.8882
P
42
direct
0.0023 0.0761 0.1731
0.0101 0.4565 0.9171
0.0201 0.6109 0.8514
0.0301 0.9830 0.3017
0.0543 0.4772 0.3302
0.0809 0.9188 0.5716
0.1190 0.3354 0.3972
0.1622 0.7816 0.6425
0.2227 0.1513 0.8248
0.2305 0.3347 0.1502
0.2330 0.2371 0.2737
0.2575 0.8771 0.8260
0.2711 0.2702 0.7242
0.2706 0.6783 0.1503
0.3105 0.7318 0.3318
0.3533 0.5800 0.3912
0.3846 0.0086 0.6386
0.3878 0.1753 0.6007
0.4313 0.0533 0.8232
0.4714 0.4842 0.2709
0.4851 0.5881 0.1516
0.5149 0.4119 0.8484
0.5286 0.5158 0.7291
0.5687 0.9467 0.1768
0.6122 0.8247 0.3993
0.6154 0.9914 0.3614
0.6467 0.4200 0.6088
0.6895 0.2682 0.6682
0.7294 0.3217 0.8497
0.7289 0.7298 0.2758
0.7425 0.1229 0.1740
0.7670 0.7629 0.7263
0.7695 0.6653 0.8498
0.7773 0.8487 0.1752
0.8378 0.2184 0.3575
0.8810 0.6646 0.6028
0.9191 0.0812 0.4284
0.9457 0.5228 0.6698
0.9699 0.0170 0.6983
0.9799 0.3891 0.1486
0.9899 0.5435 0.0829
0.9977 0.9239 0.8269
```

No. 4
CaLa3Y3: calculated X-ray diffraction stick pattern (Cu Kα (weighted mean of Kα1 and Kα2)), based on a DFT-relaxed cell (PBE, Alexandria).
Intensities are scaled so that the largest is 100.

Main lines, most intense first (2θ = 10–90°):
2θ (°)	I_rel
31.5	100.0
31.6	91.8
30.3	71.9
31.3	54.3
27.6	49.6
31.7	47.3
48.6	37.5
58.3	21.7
58.5	21.6
54.4	20.6
54.6	20.5
27.4	19.7

Structure:
```
CaLa3Y3
1.0
6.5071 0.0000 0.0000
3.2238 8.1406 0.0000
0.0241 0.8212 9.4338
Ca La Y
2 6 6
direct
0.0498 0.0761 0.3232
0.9502 0.9239 0.6768
0.0923 0.6339 0.3912
0.2005 0.7843 0.0353
0.3791 0.0719 0.8228
0.6209 0.9281 0.1772
0.7995 0.2157 0.9647
0.9077 0.3661 0.6088
0.2360 0.3647 0.1016
0.3395 0.4991 0.7469
0.4693 0.2198 0.4649
0.5307 0.7802 0.5351
0.6605 0.5009 0.2531
0.7640 0.6353 0.8984
```